Simulated powder diffractogram
Compound: Tb2Ni4Ge3Rh
Radiation: Cu Kα X-rays
Structure: a structure optimized by DFT (PBE)
Peak positions follow from Bragg's law for the DFT cell and can differ from measured ones.

Principal peaks in the range 2θ from 10° to 90°, in order of falling intensity:
Position (°2θ)  I (rel.)
36.42  1000
34.79  587
45.40  503
50.52  277
58.44  260
77.94  210
70.25  202
66.16  158
31.67  135
64.29  122

Structural model:
a b c (Å): 3.995 3.995 10.127
angles (deg): 90.00 90.00 90.00
Atoms (fractional coordinates):
Tb 0.000 0.500 0.249
Tb 0.500 0.000 0.751
Ni 0.000 0.000 0.500
Ni 0.000 0.500 0.858
Ni 0.500 0.000 0.142
Ni 0.500 0.500 0.500
Ge 0.000 0.000 0.000
Ge 0.000 0.500 0.628
Ge 0.500 0.000 0.372
Rh 0.500 0.500 0.000

Simulated powder diffractogram
Compound: Np3NiS6
Radiation: Cu Kα X-rays
Structure: a structure optimized by DFT (PBE)
Peak positions follow from Bragg's law for the DFT cell and can differ from measured ones.

Principal peaks in the range 2θ from 10° to 90°, in order of falling intensity:
Position (°2θ)  I (rel.)
26.09  1000
26.55  620
17.90  485
39.26  448
43.49  380
26.29  317
40.21  294
36.01  212
39.67  198
52.90  197

Structural model:
a b c (Å): 8.334 8.334 6.236
angles (deg): 90.00 90.00 101.56
Atoms (fractional coordinates):
Np 0.110 0.890 0.500
Np 0.222 0.428 0.411
Np 0.428 0.222 0.911
Np 0.572 0.778 0.411
Np 0.778 0.572 0.911
Np 0.890 0.110 0.000
Ni 0.306 0.694 0.839
Ni 0.694 0.306 0.339
S 0.062 0.595 0.689
S 0.132 0.191 0.705
S 0.191 0.132 0.205
S 0.277 0.723 0.206
S 0.405 0.938 0.689
S 0.467 0.533 0.713
S 0.533 0.467 0.213
S 0.595 0.062 0.189
S 0.723 0.277 0.706
S 0.809 0.868 0.705
S 0.868 0.809 0.205
S 0.938 0.405 0.189

Simulated powder diffractogram
Compound: Pm2Cd2Pt15
Radiation: Cu Kα X-rays
Structure: a structure optimized by DFT (PBE)
Peak positions follow from Bragg's law for the DFT cell and can differ from measured ones.

Principal peaks in the range 2θ from 10° to 90°, in order of falling intensity:
Position (°2θ)  I (rel.)
38.83  1000
43.55  869
38.46  413
39.91  358
18.96  316
69.57  270
33.15  243
83.33  240
44.54  226
63.03  226

Structural model:
a b c (Å): 7.045 7.045 7.045
angles (deg): 83.29 83.29 83.29
Atoms (fractional coordinates):
Pm 0.148 0.148 0.148
Pm 0.852 0.852 0.852
Cd 0.399 0.399 0.399
Cd 0.601 0.601 0.601
Pt 0.000 0.500 0.500
Pt 0.156 0.156 0.663
Pt 0.156 0.663 0.156
Pt 0.183 0.500 0.817
Pt 0.183 0.817 0.500
Pt 0.337 0.844 0.844
Pt 0.500 0.000 0.500
Pt 0.500 0.183 0.817
Pt 0.500 0.500 0.000
Pt 0.500 0.817 0.183
Pt 0.663 0.156 0.156
Pt 0.817 0.183 0.500
Pt 0.817 0.500 0.183
Pt 0.844 0.337 0.844
Pt 0.844 0.844 0.337

Simulated powder diffractogram
Compound: BaIn12Hg7
Radiation: Cu Kα X-rays
Structure: a structure optimized by DFT (PBE)
Peak positions follow from Bragg's law for the DFT cell and can differ from measured ones.

Principal peaks in the range 2θ from 10° to 90°, in order of falling intensity:
Position (°2θ)  I (rel.)
29.90  1000
30.22  789
34.85  710
30.55  562
37.60  407
43.06  403
37.47  385
41.23  301
29.35  222
34.35  184

Structural model:
a b c (Å): 8.036 8.589 9.716
angles (deg): 115.28 106.50 93.99
Atoms (fractional coordinates):
Ba 0.000 0.000 0.000
In 0.064 0.769 0.560
In 0.189 0.562 0.783
In 0.248 0.819 0.320
In 0.356 0.222 0.563
In 0.389 0.458 0.098
In 0.469 0.732 0.676
In 0.531 0.268 0.324
In 0.611 0.542 0.902
In 0.644 0.778 0.437
In 0.752 0.181 0.680
In 0.811 0.438 0.217
In 0.936 0.231 0.440
Hg 0.000 0.500 0.000
Hg 0.158 0.154 0.766
Hg 0.205 0.426 0.348
Hg 0.437 0.886 0.089
Hg 0.563 0.114 0.911
Hg 0.795 0.574 0.652
Hg 0.842 0.846 0.234

Simulated powder diffractogram
Compound: CdH4Pt2
Radiation: Cu Kα X-rays
Structure: a structure optimized by DFT (PBE)
Peak positions follow from Bragg's law for the DFT cell and can differ from measured ones.

Principal peaks in the range 2θ from 10° to 90°, in order of falling intensity:
Position (°2θ)  I (rel.)
22.32  1000
38.02  969
28.96  770
48.49  770
34.38  659
20.09  565
45.56  454
41.27  423
71.73  381
36.85  272

Structural model:
a b c (Å): 6.714 5.854 8.077
angles (deg): 54.86 45.48 79.66
Atoms (fractional coordinates):
Cd 0.000 0.000 0.000
Cd 0.250 0.250 0.250
H 0.081 0.475 0.592
H 0.166 0.775 0.660
H 0.399 0.658 0.775
H 0.475 0.081 0.851
H 0.590 0.851 0.084
H 0.658 0.399 0.169
H 0.775 0.166 0.399
H 0.851 0.590 0.475
Pt 0.022 0.477 0.023
Pt 0.227 0.772 0.228
Pt 0.477 0.022 0.478
Pt 0.772 0.227 0.773

Simulated powder diffractogram
Compound: TaNiOsRu
Radiation: Cu Kα X-rays
Structure: a structure optimized by DFT (PBE)
Peak positions follow from Bragg's law for the DFT cell and can differ from measured ones.

Principal peaks in the range 2θ from 10° to 90°, in order of falling intensity:
Position (°2θ)  I (rel.)
40.64  1000
69.43  204
46.78  167
46.90  166
48.13  154
22.95  147
82.63  127
82.80  127
84.63  121
33.07  120

Structural model:
a b c (Å): 3.781 3.874 3.884
angles (deg): 90.00 90.00 90.00
Atoms (fractional coordinates):
Ta 0.000 0.000 0.000
Ni 0.000 0.500 0.500
Os 0.500 0.000 0.500
Ru 0.500 0.500 0.000

Simulated powder diffractogram
Compound: PmMgZn2Cu2
Radiation: Cu Kα X-rays
Structure: a structure optimized by DFT (PBE)
Peak positions follow from Bragg's law for the DFT cell and can differ from measured ones.

Principal peaks in the range 2θ from 10° to 90°, in order of falling intensity:
Position (°2θ)  I (rel.)
36.00  1000
41.45  809
27.17  620
59.50  281
56.05  271
72.06  248
40.71  149
71.38  134
75.60  127
50.27  114

Structural model:
a b c (Å): 4.357 4.357 6.649
angles (deg): 90.00 90.00 120.00
Atoms (fractional coordinates):
Pm 0.000 0.000 0.000
Mg 0.000 0.000 0.500
Zn 0.333 0.667 0.295
Zn 0.667 0.333 0.705
Cu 0.333 0.667 0.707
Cu 0.667 0.333 0.293

Simulated powder diffractogram
Compound: Ho3Ag4Sn4
Radiation: Cu Kα X-rays
Structure: a structure optimized by DFT (PBE)
Peak positions follow from Bragg's law for the DFT cell and can differ from measured ones.

Principal peaks in the range 2θ from 10° to 90°, in order of falling intensity:
Position (°2θ)  I (rel.)
31.73  1000
32.90  650
39.44  339
43.25  260
35.28  214
40.77  204
58.01  203
35.93  139
71.65  129
53.94  119

Structural model:
a b c (Å): 8.782 8.782 8.782
angles (deg): 149.84 130.36 59.19
Atoms (fractional coordinates):
Ho 0.000 0.000 0.000
Ho 0.373 0.873 0.500
Ho 0.627 0.127 0.500
Ag 0.028 0.328 0.700
Ag 0.371 0.672 0.700
Ag 0.629 0.328 0.300
Ag 0.972 0.672 0.300
Sn 0.214 0.214 0.000
Sn 0.303 0.500 0.803
Sn 0.697 0.500 0.197
Sn 0.786 0.786 0.000

Simulated powder diffractogram
Compound: K5Nb4O12F
Radiation: Cu Kα X-rays
Structure: a structure optimized by DFT (PBE)
Peak positions follow from Bragg's law for the DFT cell and can differ from measured ones.

Principal peaks in the range 2θ from 10° to 90°, in order of falling intensity:
Position (°2θ)  I (rel.)
10.36  1000
28.12  730
31.43  391
28.69  386
27.45  374
14.67  331
48.30  179
46.72  172
34.71  159
23.32  129

Structural model:
a b c (Å): 5.173 12.062 12.948
angles (deg): 90.00 110.95 90.00
Atoms (fractional coordinates):
K 0.000 0.000 0.000
K 0.000 0.500 0.500
K 0.276 0.148 0.831
K 0.276 0.352 0.331
K 0.407 0.668 0.349
K 0.407 0.832 0.849
K 0.593 0.168 0.151
K 0.593 0.332 0.651
K 0.724 0.648 0.669
K 0.724 0.852 0.169
Nb 0.062 0.643 0.022
Nb 0.062 0.857 0.522
Nb 0.330 0.012 0.355
Nb 0.330 0.488 0.855
Nb 0.670 0.512 0.145
Nb 0.670 0.988 0.645
Nb 0.938 0.143 0.478
Nb 0.938 0.357 0.978
O 0.010 0.105 0.332
O 0.010 0.395 0.832
O 0.080 0.218 0.001
O 0.080 0.282 0.501
O 0.149 0.627 0.884
O 0.149 0.873 0.384
O 0.284 0.041 0.539
O 0.284 0.459 0.039
O 0.317 0.522 0.717
O 0.317 0.978 0.217
O 0.445 0.660 0.121
O 0.445 0.840 0.621
O 0.555 0.160 0.379
O 0.555 0.340 0.879
O 0.683 0.022 0.783
O 0.683 0.478 0.283
O 0.716 0.541 0.961
O 0.716 0.959 0.461
O 0.851 0.127 0.616
O 0.851 0.373 0.116
O 0.920 0.718 0.499
O 0.920 0.782 0.999
O 0.990 0.605 0.168
O 0.990 0.895 0.668
F 0.500 0.000 0.000
F 0.500 0.500 0.500

Simulated powder diffractogram
Compound: K4Pr3PtO8
Radiation: Cu Kα X-rays
Structure: a structure optimized by DFT (PBE)
Peak positions follow from Bragg's law for the DFT cell and can differ from measured ones.

Principal peaks in the range 2θ from 10° to 90°, in order of falling intensity:
Position (°2θ)  I (rel.)
13.81  1000
35.68  637
30.03  566
31.17  445
27.82  374
30.21  282
46.52  257
29.78  238
49.64  228
50.10  180

Structural model:
a b c (Å): 7.411 7.411 7.313
angles (deg): 115.10 115.10 56.02
Atoms (fractional coordinates):
K 0.000 0.000 0.000
K 0.000 0.500 0.000
K 0.500 0.000 0.000
K 0.500 0.500 0.000
Pr 0.000 0.000 0.500
Pr 0.000 0.500 0.500
Pr 0.500 0.000 0.500
Pt 0.500 0.500 0.500
O 0.211 0.211 0.257
O 0.212 0.212 0.690
O 0.257 0.684 0.664
O 0.316 0.743 0.336
O 0.684 0.257 0.664
O 0.743 0.316 0.336
O 0.788 0.788 0.310
O 0.789 0.789 0.743

Simulated powder diffractogram
Compound: PmGdCuPt
Radiation: Cu Kα X-rays
Structure: a structure optimized by DFT (PBE)
Peak positions follow from Bragg's law for the DFT cell and can differ from measured ones.

Principal peaks in the range 2θ from 10° to 90°, in order of falling intensity:
Position (°2θ)  I (rel.)
35.77  1000
64.28  361
51.49  177
86.75  162
75.80  112
21.68  109
42.22  61
56.50  27
79.95  22
68.70  21

Structural model:
a b c (Å): 5.020 5.020 5.020
angles (deg): 60.00 60.00 60.00
Atoms (fractional coordinates):
Pm 0.000 0.000 0.000
Gd 0.500 0.500 0.500
Cu 0.750 0.750 0.750
Pt 0.250 0.250 0.250

Simulated powder diffractogram
Compound: Re3Ru
Radiation: Cu Kα X-rays
Structure: a structure optimized by DFT (PBE)
Peak positions follow from Bragg's law for the DFT cell and can differ from measured ones.

Principal peaks in the range 2θ from 10° to 90°, in order of falling intensity:
Position (°2θ)  I (rel.)
42.90  1000
37.48  252
40.89  252
82.14  204
75.85  194
67.62  173
56.66  154
83.49  149
10.02  82
38.89  29

Structural model:
a b c (Å): 2.771 2.771 8.828
angles (deg): 90.00 90.00 120.00
Atoms (fractional coordinates):
Re 0.000 0.000 0.000
Re 0.667 0.333 0.253
Re 0.667 0.333 0.747
Ru 0.000 0.000 0.500